For Li3V2P4H2O16, DFT lattice parameters and positions (GGA+U) gives the simulated X-ray diffraction stick pattern in this record (λ = 1.5418 Å (Cu Kα)).

Structural model:
```
data_Li3V2P4H2O16
_cell_length_a 7.567
_cell_length_b 8.078
_cell_length_c 9.758
_cell_angle_alpha 90.00
_cell_angle_beta 104.41
_cell_angle_gamma 90.00
_symmetry_space_group_name_H-M 'P 1 21 1'
_symmetry_Int_Tables_number 4
_symmetry_space_group_name_Hall 'P 2yb'
loop_
_atom_site_label
_atom_site_type_symbol
_atom_site_fract_x
_atom_site_fract_y
_atom_site_fract_z
_atom_site_occupancy
Li1 Li 0.098 0.000 0.077 1
Li2 Li 0.100 0.997 0.574 1
Li3 Li 0.400 0.743 0.672 1
V1 V 0.251 0.372 0.128 1
V2 V 0.257 0.365 0.625 1
P1 P 0.009 0.714 0.190 1
P2 P 0.017 0.714 0.688 1
P3 P 0.480 0.024 0.556 1
P4 P 0.494 0.019 0.067 1
H1 H 0.233 0.855 0.356 1
H2 H 0.275 0.878 0.901 1
O1 O 0.053 0.546 0.134 1
O2 O 0.062 0.544 0.630 1
O3 O 0.092 0.323 0.935 1
O4 O 0.097 0.319 0.442 1
O5 O 0.103 0.193 0.206 1
O6 O 0.107 0.194 0.700 1
O7 O 0.189 0.812 0.252 1
O8 O 0.192 0.813 0.747 1
O9 O 0.304 0.927 0.496 1
O10 O 0.308 0.927 0.002 1
O11 O 0.392 0.536 0.041 1
O12 O 0.395 0.413 0.805 1
O13 O 0.395 0.542 0.549 1
O14 O 0.413 0.425 0.314 1
O15 O 0.431 0.201 0.596 1
O16 O 0.444 0.182 0.128 1
```

The 12 most intense peaks (10° ≤ 2θ ≤ 80°), most intense first:
2θ/deg	d (Å)	intensity	(hkl)
29.06	3.073	100	2 1 -2
24.83	3.586	75	1 0 2
16.33	5.428	56	1 1 0
25.18	3.537	50	1 2 0
33.00	2.714	45	2 2 0
22.56	3.942	44	1 1 -2
29.67	3.011	21	1 2 -2
38.67	2.329	18	1 1 -4
27.21	3.277	16	1 1 2
51.43	1.777	16	3 2 2
43.24	2.092	15	2 3 -2
58.23	1.584	13	3 3 -4